[1]
For Ce6In14Pt11, a structure optimized by DFT (GGA-PBE) gives the computed powder diffraction line list in this record (copper Kα).

Principal peaks in the range 2θ from 10° to 80°, by angle:
2θ/deg  Rel. int.
32.19  63.5
33.16  43.2
35.07  64.9
35.82  64.7
40.26  100.0
41.77  46.6

Cell and atoms:
Lattice parameters (Å, degrees): 22.897 4.480 15.203 90.00 119.51 90.00
Space group Cm (No. 8)
Symmetry-distinct sites (fractional):
Ce1 0.000 0.000 0.000 (multiplicity 2)
Ce2 0.009 0.500 0.830 (multiplicity 2)
Ce3 0.229 0.000 0.567 (multiplicity 2)
Ce4 0.238 0.500 0.388 (multiplicity 2)
Ce5 0.249 0.000 0.840 (multiplicity 2)
Ce6 0.488 0.000 0.559 (multiplicity 2)
In1 0.072 0.500 0.201 (multiplicity 2)
In2 0.097 0.500 0.441 (multiplicity 2)
In3 0.105 0.000 0.616 (multiplicity 2)
In4 0.131 0.500 0.780 (multiplicity 2)
In5 0.141 0.000 0.955 (multiplicity 2)
In6 0.165 0.000 0.193 (multiplicity 2)
In7 0.251 0.500 0.172 (multiplicity 2)
In8 0.306 0.000 0.097 (multiplicity 2)
In9 0.331 0.500 0.764 (multiplicity 2)
In10 0.358 0.500 0.996 (multiplicity 2)
In11 0.383 0.500 0.399 (multiplicity 2)
In12 0.406 0.500 0.630 (multiplicity 2)
In13 0.433 0.000 0.299 (multiplicity 2)
In14 0.486 0.500 0.220 (multiplicity 2)
Pt1 0.008 0.000 0.417 (multiplicity 2)
Pt2 0.046 0.000 0.741 (multiplicity 2)
Pt3 0.108 0.500 0.049 (multiplicity 2)
Pt4 0.129 0.000 0.347 (multiplicity 2)
Pt5 0.190 0.500 0.656 (multiplicity 2)
Pt6 0.231 0.500 0.977 (multiplicity 2)
Pt7 0.307 0.000 0.294 (multiplicity 2)
Pt8 0.342 0.000 0.498 (multiplicity 2)
Pt9 0.369 0.000 0.696 (multiplicity 2)
Pt10 0.395 0.000 0.895 (multiplicity 2)
Pt11 0.431 0.000 0.099 (multiplicity 2)

[2]
For CeAlRh, a structure optimized by DFT (GGA-PBE) gives the computed powder diffraction line list in this record (copper Kα).

Principal peaks in the range 2θ from 10° to 80°, by angle:
2θ/deg  Rel. int.
29.88  29.9
32.94  38.1
33.46  93.2
35.41  78.0
37.17  100.0
42.97  53.1

Cell and atoms:
Lattice parameters (Å, degrees): 7.124 4.210 15.874 90.00 90.00 90.00
Space group Pnma (No. 62)
Symmetry-distinct sites (fractional):
Ce1 0.027 0.250 0.220 (multiplicity 4)
Ce2 0.153 0.250 0.441 (multiplicity 4)
Al1 0.005 0.250 0.938 (multiplicity 4)
Al2 0.144 0.250 0.650 (multiplicity 4)
Rh1 0.221 0.250 0.073 (multiplicity 4)
Rh2 0.236 0.750 0.318 (multiplicity 4)

[3]
For Mo3WSe2S6, a structure optimized by DFT (GGA-PBE) gives the computed powder diffraction line list in this record (copper Kα).

Principal peaks in the range 2θ from 10° to 80°, by angle:
2θ/deg  Rel. int.
12.17  100.0
14.62  23.4
32.09  24.6
37.85  56.7
45.95  34.6
57.22  20.6

Cell and atoms:
Lattice parameters (Å, degrees): 3.2206 3.2206 36.3627 90.00 90.00 120.00
Space group P3m1 (No. 156)
Symmetry-distinct sites (fractional):
Mo1 0.0000 0.0000 0.0000 (multiplicity 1)
Mo2 0.0000 0.0000 0.3757 (multiplicity 1)
Mo3 0.6667 0.3333 0.8121 (multiplicity 1)
W1 0.6667 0.3333 0.1879 (multiplicity 1)
Se1 0.6667 0.3333 0.0470 (multiplicity 1)
Se2 0.6667 0.3333 0.9529 (multiplicity 1)
S1 0.0000 0.0000 0.1449 (multiplicity 1)
S2 0.0000 0.0000 0.2308 (multiplicity 1)
S3 0.0000 0.0000 0.7693 (multiplicity 1)
S4 0.0000 0.0000 0.8549 (multiplicity 1)
S5 0.6667 0.3333 0.3329 (multiplicity 1)
S6 0.6667 0.3333 0.4185 (multiplicity 1)